# DyCu3S3
Calculated powder diffractogram, Cu Kα X-rays. Input: the GGA-PBE geometry in the Materials Project.
No peak broadening, texture or thermal motion is included.

Most intense lines, 2θ from 10° to 90°, in order of falling intensity:
2θ (°)	I/Imax
30.24	1000
39.15	741
47.15	555
16.02	283
17.94	204
65.49	199

Structural model:
```
DyCu3S3
1.0
3.3388 1.9276 6.3513
-3.3388 1.9276 6.3513
0.0000 -3.8553 6.3513
Dy Cu S
2 6 6
Direct
0.1665 0.1665 0.1665 Dy
0.8335 0.8335 0.8335 Dy
0.0392 0.3770 0.7155 Cu
0.2845 0.9608 0.6230 Cu
0.3770 0.7155 0.0392 Cu
0.6230 0.2845 0.9608 Cu
0.7155 0.0392 0.3770 Cu
0.9608 0.6230 0.2845 Cu
0.0829 0.7488 0.4171 S
0.2512 0.5829 0.9171 S
0.4171 0.0829 0.7488 S
0.5829 0.9171 0.2512 S
0.7488 0.4171 0.0829 S
0.9171 0.2512 0.5829 S
```

***

# SrMg14CdO16
Calculated powder diffractogram, Cu Kα X-rays. Input: the GGA-PBE geometry in the Materials Project.
No peak broadening, texture or thermal motion is included.

Most intense lines, 2θ from 10° to 90°, in order of falling intensity:
2θ (°)	I/Imax
40.66	1000
41.07	965
41.43	913
35.36	791
10.14	736
59.17	576

Structural model:
```
SrMg14CdO16
1.0
4.4380 0.0000 0.0000
0.0000 8.7174 0.0000
0.0000 0.0000 8.7906
Sr Mg Cd O
1 14 1 16
Direct
0.0000 0.0000 0.0000 Sr
0.0000 0.2584 0.2536 Mg
0.0000 0.2584 0.7464 Mg
0.0000 0.5000 0.0000 Mg
0.0000 0.5000 0.5000 Mg
0.0000 0.7416 0.2536 Mg
0.0000 0.7416 0.7464 Mg
0.5000 0.0000 0.2554 Mg
0.5000 0.0000 0.7446 Mg
0.5000 0.2555 0.5000 Mg
0.5000 0.2597 0.0000 Mg
0.5000 0.5000 0.2508 Mg
0.5000 0.5000 0.7492 Mg
0.5000 0.7403 0.0000 Mg
0.5000 0.7445 0.5000 Mg
0.0000 0.0000 0.5000 Cd
0.0000 0.0000 0.2578 O
0.0000 0.0000 0.7422 O
0.0000 0.2691 0.5000 O
0.0000 0.2723 0.0000 O
0.0000 0.5000 0.2515 O
0.0000 0.5000 0.7485 O
0.0000 0.7277 0.0000 O
0.0000 0.7309 0.5000 O
0.5000 0.0000 0.0000 O
0.5000 0.0000 0.5000 O
0.5000 0.2496 0.2504 O
0.5000 0.2496 0.7496 O
0.5000 0.5000 0.0000 O
0.5000 0.5000 0.5000 O
0.5000 0.7504 0.2504 O
0.5000 0.7504 0.7496 O
```

***

# MgZr3U7O20
Calculated powder diffractogram, Cu Kα X-rays. Input: the GGA-PBE geometry in the Materials Project.
No peak broadening, texture or thermal motion is included.

Most intense lines, 2θ from 10° to 90°, in order of falling intensity:
2θ (°)	I/Imax
28.79	1000
29.15	525
33.10	487
26.86	445
48.52	370
45.62	201

Structural model:
```
MgZr3U7O20
1.0
3.7554 0.0000 0.0000
0.0020 6.4917 0.0000
1.8746 0.6718 16.5977
Mg Zr U O
1 3 7 20
Direct
0.0000 0.0000 0.0000 Mg
0.4361 0.1295 0.1280 Zr
0.6631 0.5540 0.6756 Zr
0.7560 0.2457 0.4919 Zr
0.0687 0.3724 0.8659 U
0.1625 0.0583 0.6772 U
0.2539 0.7450 0.4938 U
0.3478 0.4370 0.3062 U
0.5702 0.8655 0.8615 U
0.8485 0.9317 0.3044 U
0.9464 0.6085 0.1083 U
0.0345 0.7190 0.9326 O
0.0929 0.0420 0.8165 O
0.1386 0.3942 0.7255 O
0.1842 0.7196 0.6330 O
0.2319 0.0843 0.5373 O
0.2769 0.4121 0.4476 O
0.3252 0.7627 0.3512 O
0.3736 0.1101 0.2537 O
0.4257 0.4531 0.1502 O
0.4791 0.8927 0.0424 O
0.5435 0.1870 0.9166 O
0.5921 0.5422 0.8185 O
0.6400 0.8762 0.7219 O
0.6860 0.2379 0.6301 O
0.7299 0.5647 0.5418 O
0.7767 0.9223 0.4480 O
0.8228 0.2620 0.3563 O
0.8758 0.6001 0.2501 O
0.9216 0.9546 0.1572 O
0.9728 0.2695 0.0568 O
```

***

# RbSrMg14
Calculated powder diffractogram, Cu Kα X-rays. Input: the GGA-PBE geometry in the Materials Project.
No peak broadening, texture or thermal motion is included.

Most intense lines, 2θ from 10° to 90°, in order of falling intensity:
2θ (°)	I/Imax
34.49	1000
29.95	281
22.43	262
33.80	234
14.85	209
64.51	192

Structural model:
```
RbSrMg14
1.0
6.8900 0.0000 0.0000
-3.4450 5.9669 0.0000
0.0000 0.0000 10.6074
Rb Sr Mg
1 1 14
Direct
0.0000 0.0000 0.0000 Rb
0.0000 0.0000 0.5000 Sr
0.0064 0.5032 0.0000 Mg
0.0096 0.5048 0.5000 Mg
0.1795 0.3589 0.2535 Mg
0.1795 0.3589 0.7465 Mg
0.1795 0.8205 0.2535 Mg
0.1795 0.8205 0.7465 Mg
0.4952 0.5048 0.5000 Mg
0.4952 0.9904 0.5000 Mg
0.4968 0.5032 0.0000 Mg
0.4968 0.9936 0.0000 Mg
0.6411 0.8205 0.2535 Mg
0.6411 0.8205 0.7465 Mg
0.6667 0.3333 0.2502 Mg
0.6667 0.3333 0.7498 Mg
```

***

# CaI2O6
Calculated powder diffractogram, Cu Kα X-rays. Input: the GGA-PBE geometry in the Materials Project.
No peak broadening, texture or thermal motion is included.

Most intense lines, 2θ from 10° to 90°, in order of falling intensity:
2θ (°)	I/Imax
27.89	1000
25.52	862
25.03	603
20.05	570
30.95	379
44.37	328

Structural model:
```
CaI2O6
1.0
7.2569 0.0000 0.0000
0.0000 11.4648 0.0000
-5.2290 0.0000 7.1148
Ca I O
4 8 24
Direct
0.2257 0.1003 0.0031 Ca
0.2257 0.3997 0.5031 Ca
0.7743 0.6003 0.4969 Ca
0.7743 0.8997 0.9969 Ca
0.2376 0.0753 0.4631 I
0.2376 0.4247 0.9631 I
0.3201 0.7140 0.5566 I
0.3201 0.7860 0.0566 I
0.6799 0.2140 0.9434 I
0.6799 0.2860 0.4434 I
0.7624 0.5753 0.0369 I
0.7624 0.9247 0.5369 I
0.0253 0.5391 0.8267 O
0.0253 0.9609 0.3267 O
0.0583 0.2065 0.3769 O
0.0583 0.2935 0.8769 O
0.1216 0.6015 0.5261 O
0.1216 0.8985 0.0261 O
0.3786 0.0932 0.3448 O
0.3786 0.4068 0.8448 O
0.4566 0.7466 0.3035 O
0.4566 0.7534 0.8035 O
0.4677 0.1084 0.9041 O
0.4677 0.3916 0.4041 O
0.5323 0.6084 0.5959 O
0.5323 0.8916 0.0959 O
0.5434 0.2466 0.1965 O
0.5434 0.2534 0.6965 O
0.6214 0.5932 0.1552 O
0.6214 0.9068 0.6552 O
0.8784 0.1015 0.9739 O
0.8784 0.3985 0.4739 O
0.9417 0.7065 0.1231 O
0.9417 0.7935 0.6231 O
0.9747 0.0391 0.6733 O
0.9747 0.4609 0.1733 O
```

***

# LiCuS
Calculated powder diffractogram, Cu Kα X-rays. Input: the GGA-PBE geometry in the Materials Project.
No peak broadening, texture or thermal motion is included.

Most intense lines, 2θ from 10° to 90°, in order of falling intensity:
2θ (°)	I/Imax
20.28	1000
21.35	541
42.07	473
36.80	363
41.23	204
42.64	194

Structural model:
```
LiCuS
1.0
8.3229 0.0000 0.0000
0.0000 4.9291 0.0000
0.0000 0.0000 5.1503
Li Cu S
4 4 4
Direct
0.1385 0.2500 0.0140 Li
0.3615 0.7500 0.5140 Li
0.6385 0.2500 0.4860 Li
0.8615 0.7500 0.9860 Li
0.0000 0.0000 0.5000 Cu
0.0000 0.5000 0.5000 Cu
0.5000 0.0000 0.0000 Cu
0.5000 0.5000 0.0000 Cu
0.1276 0.7500 0.2179 S
0.3724 0.2500 0.7179 S
0.6276 0.7500 0.2821 S
0.8724 0.2500 0.7821 S
```

***

# NiS2
Calculated powder diffractogram, Cu Kα X-rays. Input: the GGA-PBE geometry in the Materials Project.
No peak broadening, texture or thermal motion is included.

Most intense lines, 2θ from 10° to 90°, in order of falling intensity:
2θ (°)	I/Imax
19.00	1000
40.84	965
40.69	813
57.42	493
45.27	384
86.85	299

Structural model:
```
NiS2
1.0
-1.5679 1.5679 4.6700
1.5679 -1.5679 4.6700
1.5679 1.5679 -4.6700
Ni S
1 2
Direct
0.0000 0.0000 0.0000 Ni
0.3860 0.3860 0.0000 S
0.6140 0.6140 0.0000 S
```

***

# SmErRh2
Calculated powder diffractogram, Cu Kα X-rays. Input: the GGA-PBE geometry in the Materials Project.
No peak broadening, texture or thermal motion is included.

Most intense lines, 2θ from 10° to 90°, in order of falling intensity:
2θ (°)	I/Imax
36.78	1000
66.24	354
52.99	174
89.73	162
78.24	110
25.78	46

Structural model:
```
SmErRh2
1.0
0.0000 3.4559 3.4559
3.4559 0.0000 3.4559
3.4559 3.4559 0.0000
Sm Er Rh
1 1 2
Direct
0.0000 0.0000 0.0000 Sm
0.5000 0.5000 0.5000 Er
0.2500 0.2500 0.2500 Rh
0.7500 0.7500 0.7500 Rh
```